# 1
Computed powder X-ray diffraction pattern
Compound: BaMgCuS2
Radiation: Cu Kα, 1.54184 Å
Structure: a crystal structure in the Materials Project, relaxed with GGA-PBE

Structure:
Lattice parameters (Å, degrees): 4.838 4.838 6.280 90.00 90.00 90.00
Space group P4/mmm (No. 123)
One atom of each set of equivalent atoms:
Ba (0.000, 0.000, 0.000)
Mg (0.000, 0.000, 0.500)
Cu (0.500, 0.500, 0.500)
S (0.000, 0.500, 0.500)

The 10 most intense peaks (2θ from 15° to 90°), in order of falling intensity:
| hkl | 2theta | I/Imax |
| --- | --- | --- |
| 1 0 1 | 23.2 | 100 |
| 0 0 2 | 28.4 | 43 |
| 2 0 0 | 37.2 | 41 |
| 2 0 2 | 47.4 | 39 |
| 2 1 1 | 44.3 | 36 |
| 1 1 0 | 26.0 | 31 |
| 1 0 0 | 18.3 | 22 |
| 1 1 2 | 38.9 | 22 |
| 1 1 1 | 29.7 | 19 |
| 2 2 2 | 61.8 | 17 |


# 2
Computed powder X-ray diffraction pattern
Compound: BaMgCuS2
Radiation: Cu Kα, 1.54184 Å
Structure: a crystal structure in the Materials Project, relaxed with GGA-PBE

Structure:
Lattice parameters (Å, degrees): 5.407 3.768 5.527 90.00 97.00 90.00
Space group Pm (No. 6)
One atom of each set of equivalent atoms:
Ba (0.000, 0.000, 0.000)
Mg (0.406, 0.000, 0.586)
Cu (0.652, 0.500, 0.328)
S (0.053, 0.500, 0.485)
S (0.504, 0.500, 0.931)

The 10 most intense peaks (2θ from 15° to 90°), in order of falling intensity:
| hkl | 2theta | I/Imax |
| --- | --- | --- |
| 1 1 -1 | 32.3 | 100 |
| 1 1 0 | 29.0 | 62 |
| 0 1 1 | 28.7 | 58 |
| 1 0 1 | 24.6 | 45 |
| 1 1 1 | 34.3 | 33 |
| 1 0 -2 | 34.9 | 31 |
| 0 0 1 | 16.2 | 30 |
| 2 0 -1 | 35.4 | 29 |
| 2 0 0 | 33.4 | 28 |
| 0 1 2 | 40.7 | 26 |


# 3
Computed powder X-ray diffraction pattern
Compound: Ba3CuN3
Radiation: Cu Kα, 1.54184 Å
Structure: a crystal structure in the Materials Project, relaxed with GGA-PBE

Structure:
Lattice parameters (Å, degrees): 8.0933 8.0933 5.7042 90.00 90.00 120.00
Space group P6_3/m (No. 176)
One atom of each set of equivalent atoms:
Ba (0.0724, 0.3628, 0.2500)
Cu (0.3333, 0.6667, 0.7500)
N (0.1101, 0.4205, 0.7500)

The 10 most intense peaks (2θ from 15° to 90°), in order of falling intensity:
| hkl | 2theta | I/Imax |
| --- | --- | --- |
| 1 1 1 | 27.0 | 100 |
| 2 0 1 | 29.9 | 51 |
| 0 0 2 | 31.4 | 42 |
| 1 2 2 | 46.8 | 40 |
| 1 2 0 | 33.8 | 39 |
| 3 0 0 | 38.6 | 32 |
| 3 0 2 | 50.5 | 23 |
| 2 3 1 | 59.8 | 20 |
| 2 3 0 | 57.3 | 17 |
| 1 1 3 | 53.2 | 16 |


# 4
Computed powder X-ray diffraction pattern
Compound: Ba2CuN2
Radiation: Cu Kα, 1.54184 Å
Structure: a crystal structure in the Materials Project, relaxed with GGA-PBE

Structure:
Lattice parameters (Å, degrees): 4.111 4.122 13.101 90.00 90.00 90.00
Space group Immm (No. 71)
One atom of each set of equivalent atoms:
Ba (0.000, 0.000, 0.150)
Cu (0.000, 0.000, 0.500)
N (0.000, 0.000, 0.362)

The 10 most intense peaks (2θ from 15° to 90°), in order of falling intensity:
| hkl | 2theta | I/Imax |
| --- | --- | --- |
| 1 0 3 | 29.8 | 100 |
| 1 1 0 | 30.7 | 69 |
| 2 1 3 | 54.1 | 38 |
| 1 1 6 | 52.4 | 23 |
| 1 1 4 | 41.5 | 13 |
| 0 2 0 | 43.9 | 12 |
| 2 0 0 | 44.1 | 12 |
| 2 0 6 | 62.0 | 12 |
| 0 0 4 | 27.2 | 11 |
| 0 0 6 | 41.3 | 10 |


Number 2 is which compound?
BaMgCuS2